This entry pairs a crystal structure of LaMg3Pt3 with its theoretical PXRD pattern. Radiation: a wavelength of 1.5418 Å. Structure: a crystal structure in Alexandria, relaxed with PBE.

Atomic structure:
Cell: 7.023 7.023 7.023 Å, 90.00 90.00 90.00°
Positions (direct):
La 0.000 0.000 0.000
La 0.500 0.500 0.500
Mg 0.000 0.250 0.500
Mg 0.000 0.750 0.500
Mg 0.250 0.500 0.000
Mg 0.500 0.000 0.250
Mg 0.500 0.000 0.750
Mg 0.750 0.500 0.000
Pt 0.000 0.500 0.250
Pt 0.000 0.500 0.750
Pt 0.250 0.000 0.500
Pt 0.500 0.250 0.000
Pt 0.500 0.750 0.000
Pt 0.750 0.000 0.500

Peak list (10 most intense, 10° ≤ 2θ ≤ 80°, in order of rising 2θ)
- 3.512 Å, 2θ = 25.36°, intensity 38
- 3.141 Å, 2θ = 28.42°, intensity 100
- 2.867 Å, 2θ = 31.19°, intensity 91
- 2.027 Å, 2θ = 44.70°, intensity 24
- 1.948 Å, 2θ = 46.63°, intensity 27
- 1.877 Å, 2θ = 48.50°, intensity 53
- 1.756 Å, 2θ = 52.09°, intensity 27
- 1.533 Å, 2θ = 60.40°, intensity 25
- 1.304 Å, 2θ = 72.47°, intensity 22
- 1.242 Å, 2θ = 76.77°, intensity 17



This entry pairs a crystal structure of Na2ErP2N4 with its theoretical PXRD pattern. Radiation: a wavelength of 1.5418 Å. Structure: a crystal structure in Alexandria, relaxed with PBE.

Atomic structure:
Cell: 6.127 6.127 8.706 Å, 123.09 123.09 28.36°
Positions (direct):
Na 0.146 0.146 0.214
Na 0.854 0.854 0.786
Er 0.500 0.500 0.500
P 0.139 0.139 0.851
P 0.861 0.861 0.149
N 0.168 0.168 0.687
N 0.467 0.467 0.197
N 0.533 0.533 0.803
N 0.832 0.832 0.313

Peak list (10 most intense, 10° ≤ 2θ ≤ 80°, in order of rising 2θ)
- 7.194 Å, 2θ = 12.30°, intensity 48
- 5.879 Å, 2θ = 15.07°, intensity 100
- 4.908 Å, 2θ = 18.07°, intensity 37
- 4.264 Å, 2θ = 20.83°, intensity 22
- 2.890 Å, 2θ = 30.94°, intensity 21
- 2.869 Å, 2θ = 31.18°, intensity 27
- 2.831 Å, 2θ = 31.60°, intensity 22
- 2.526 Å, 2θ = 35.53°, intensity 23
- 2.449 Å, 2θ = 36.70°, intensity 23
- 2.212 Å, 2θ = 40.80°, intensity 39



This entry pairs a crystal structure of Sr2MgIn6Sn with its theoretical PXRD pattern. Radiation: a wavelength of 1.5418 Å. Structure: a crystal structure in Alexandria, relaxed with PBE.

Atomic structure:
Cell: 6.064 7.591 7.739 Å, 70.93 66.95 68.01°
Positions (direct):
Sr 0.007 0.252 0.234
Sr 0.993 0.748 0.766
Mg 0.500 0.000 0.500
In 0.010 0.302 0.675
In 0.318 0.940 0.929
In 0.493 0.686 0.325
In 0.507 0.314 0.675
In 0.682 0.060 0.071
In 0.990 0.698 0.325
Sn 0.500 0.500 0.000

Peak list (10 most intense, 10° ≤ 2θ ≤ 80°, in order of rising 2θ)
- 5.509 Å, 2θ = 16.09°, intensity 66
- 2.871 Å, 2θ = 31.15°, intensity 52
- 2.854 Å, 2θ = 31.34°, intensity 77
- 2.784 Å, 2θ = 32.15°, intensity 39
- 2.773 Å, 2θ = 32.28°, intensity 38
- 2.754 Å, 2θ = 32.51°, intensity 75
- 2.675 Å, 2θ = 33.50°, intensity 49
- 2.636 Å, 2θ = 34.01°, intensity 48
- 2.579 Å, 2θ = 34.79°, intensity 100
- 2.529 Å, 2θ = 35.50°, intensity 61